# GaC6N9
Calculated powder diffraction line list, CuKα. Input: the PBE geometry in the Materials Project.
Intensities are scaled so that the largest is 100.

Crystal structure
Unit cell a=7.074 b=13.203 c=11.563 alpha=90.00 beta=90.00 gamma=90.00
Space group Cmcm (No. 63)
One atom of each set of equivalent atoms:
1 Ga 0.000 0.219 0.250 x4
2 C 0.160 0.123 0.750 x8
3 C 0.160 0.356 0.593 x16
4 N 0.000 0.077 0.750 x4
5 N 0.000 0.374 0.544 x8
6 N 0.188 0.159 0.131 x16
7 N 0.189 0.339 0.250 x8

Main lines, in order of rising 2θ (2θ = 10–80°):
- d 6.601, rel. 100, (0 2 0)
- d 5.781, rel. 65, (0 0 2)
- d 5.488, rel. 79, (1 1 1)
- d 3.556, rel. 65, (1 3 1)
- d 3.328, rel. 57, (0 2 3)
- d 3.279, rel. 48, (1 1 3)